# 1
# IrSe
Simulated powder X-ray diffraction pattern, Cu Kα, 1.54184 Å. Input: the PBE geometry in Alexandria.
No peak broadening, texture or thermal motion is included.

Structural model:
```
IrSe
1.0
4.1513 0.0000 0.0000
0.0000 3.6193 0.0000
-0.8502 0.0000 5.9687
Ir Se
2 2
Direct
0.2299 0.2500 0.4679
0.7701 0.7500 0.5321
0.3281 0.7500 0.2211
0.6719 0.2500 0.7789
```

Peak list (10 most intense, 2θ from 10° to 80°, in order of rising 2θ)
| two_theta | I/Imax |
| --- | --- |
| 14.8 | 100 |
| 28.0 | 15 |
| 33.0 | 14 |
| 35.0 | 50 |
| 37.6 | 17 |
| 42.9 | 27 |
| 44.1 | 12 |
| 47.3 | 22 |
| 48.9 | 9 |
| 50.4 | 11 |

# 2
# Ti3MnCo4
Simulated powder X-ray diffraction pattern, Cu Kα, 1.54184 Å. Input: the PBE geometry in Alexandria.
No peak broadening, texture or thermal motion is included.

Structural model:
```
Ti3MnCo4
1.0
2.0922 1.2080 6.7915
-2.0922 1.2080 6.7915
0.0000 -2.4159 6.7915
Ti Mn Co
3 1 4
Direct
0.0000 0.0000 0.0000
0.2462 0.2462 0.2462
0.7538 0.7538 0.7538
0.5000 0.5000 0.5000
0.1234 0.1234 0.1234
0.3738 0.3738 0.3738
0.6262 0.6262 0.6262
0.8766 0.8766 0.8766
```

Peak list (10 most intense, 2θ from 10° to 80°, in order of rising 2θ)
| two_theta | I/Imax |
| --- | --- |
| 30.3 | 3 |
| 39.7 | 1 |
| 43.2 | 100 |
| 43.4 | 98 |
| 53.7 | 1 |
| 63.0 | 29 |
| 71.6 | 1 |
| 79.3 | 14 |
| 79.4 | 28 |
| 79.8 | 13 |

# 3
# Th3Ag4Au2
Simulated powder X-ray diffraction pattern, Cu Kα, 1.54184 Å. Input: the PBE geometry in Alexandria.
No peak broadening, texture or thermal motion is included.

Structural model:
```
Th3Ag4Au2
1.0
5.4067 -2.4363 0.0000
5.4067 2.4363 0.0000
-4.4901 0.0000 7.8919
Th Ag Au
3 4 2
Direct
0.0000 0.0000 0.0000
0.3303 0.3303 0.3389
0.6697 0.6697 0.6611
0.0465 0.0465 0.3823
0.2764 0.2764 0.9449
0.7236 0.7236 0.0551
0.9535 0.9535 0.6177
0.3936 0.3936 0.7261
0.6064 0.6064 0.2739
```

Peak list (10 most intense, 2θ from 10° to 80°, in order of rising 2θ)
| two_theta | I/Imax |
| --- | --- |
| 34.0 | 100 |
| 36.9 | 78 |
| 51.0 | 16 |
| 51.1 | 16 |
| 64.6 | 21 |
| 64.7 | 10 |
| 66.5 | 14 |
| 67.5 | 17 |
| 67.7 | 9 |
| 78.5 | 9 |

# 4
# Li2PmH6Ru
Simulated powder X-ray diffraction pattern, Cu Kα, 1.54184 Å. Input: the PBE geometry in Alexandria.
No peak broadening, texture or thermal motion is included.

Structural model:
```
Li2PmH6Ru
1.0
4.8310 0.0000 0.0000
0.0000 5.5737 0.0000
0.0000 0.0000 6.6092
Li Pm H Ru
4 2 12 2
Direct
0.0000 0.0000 0.2133
0.0000 0.0000 0.7867
0.5000 0.5000 0.2867
0.5000 0.5000 0.7133
0.0000 0.5000 0.0000
0.5000 0.0000 0.5000
0.1525 0.3114 0.3249
0.1525 0.3114 0.6751
0.1862 0.1413 0.0000
0.3138 0.6413 0.5000
0.3475 0.8114 0.1751
0.3475 0.8114 0.8249
0.6525 0.1886 0.1751
0.6525 0.1886 0.8249
0.6862 0.3587 0.5000
0.8138 0.8587 0.0000
0.8475 0.6886 0.3249
0.8475 0.6886 0.6751
0.0000 0.5000 0.5000
0.5000 0.0000 0.0000
```

Peak list (10 most intense, 2θ from 10° to 80°, in order of rising 2θ)
| two_theta | I/Imax |
| --- | --- |
| 24.4 | 100 |
| 27.0 | 39 |
| 32.1 | 28 |
| 36.7 | 79 |
| 37.2 | 19 |
| 42.4 | 23 |
| 46.6 | 17 |
| 50.0 | 17 |
| 57.7 | 18 |
| 60.3 | 19 |

# 5
# InIBr2
Simulated powder X-ray diffraction pattern, Cu Kα, 1.54184 Å. Input: the PBE geometry in Alexandria.
No peak broadening, texture or thermal motion is included.

Structural model:
```
InIBr2
1.0
7.1595 0.0000 0.0000
0.0000 12.1894 0.0000
-2.2190 0.0000 7.2443
In I Br
4 4 8
Direct
0.0000 0.0000 0.0000
0.0000 0.3318 0.0000
0.5000 0.5000 0.0000
0.5000 0.8318 0.0000
0.2490 0.9933 0.7568
0.2510 0.4933 0.2432
0.7490 0.4933 0.7568
0.7510 0.9933 0.2432
0.2074 0.1674 0.2152
0.2457 0.8457 0.2116
0.2543 0.3457 0.7884
0.2926 0.6674 0.7849
0.7074 0.6674 0.2152
0.7457 0.3457 0.2116
0.7543 0.8457 0.7884
0.7926 0.1674 0.7849
```

Peak list (10 most intense, 2θ from 10° to 80°, in order of rising 2θ)
| two_theta | I/Imax |
| --- | --- |
| 12.2 | 69 |
| 14.5 | 20 |
| 14.8 | 23 |
| 26.6 | 25 |
| 30.0 | 100 |
| 30.2 | 50 |
| 38.4 | 19 |
| 41.3 | 17 |
| 42.2 | 36 |
| 44.0 | 34 |

# 6
# TmSc3Tl4Te8
Simulated powder X-ray diffraction pattern, Cu Kα, 1.54184 Å. Input: the PBE geometry in Alexandria.
No peak broadening, texture or thermal motion is included.

Structural model:
```
TmSc3Tl4Te8
1.0
4.3009 2.4832 8.1479
-4.3009 2.4832 8.1479
0.0000 -4.9663 8.1479
Tm Sc Tl Te
1 3 4 8
Direct
0.0000 0.0000 0.0000
0.0000 0.5000 0.5000
0.5000 0.0000 0.5000
0.5000 0.5000 0.0000
0.0000 0.0000 0.5000
0.0000 0.5000 0.0000
0.5000 0.0000 0.0000
0.5000 0.5000 0.5000
0.2391 0.2391 0.7274
0.2391 0.7274 0.2391
0.2662 0.2662 0.2662
0.2726 0.7609 0.7609
0.7274 0.2391 0.2391
0.7338 0.7338 0.7338
0.7609 0.2726 0.7609
0.7609 0.7609 0.2726
```

Peak list (10 most intense, 2θ from 10° to 80°, in order of rising 2θ)
| two_theta | I/Imax |
| --- | --- |
| 24.2 | 12 |
| 28.1 | 100 |
| 30.2 | 19 |
| 38.1 | 36 |
| 42.0 | 36 |
| 51.3 | 19 |
| 54.4 | 12 |
| 58.0 | 10 |
| 62.8 | 11 |
| 68.4 | 16 |

# 7
# PuU2MnN5
Simulated powder X-ray diffraction pattern, Cu Kα, 1.54184 Å. Input: the PBE geometry in Alexandria.
No peak broadening, texture or thermal motion is included.

Structural model:
```
PuU2MnN5
1.0
6.4001 0.0000 0.0000
0.0000 6.4001 0.0000
0.0000 0.0000 5.5325
Pu U Mn N
2 4 2 10
Direct
0.0000 0.0000 0.0000
0.5000 0.5000 0.0000
0.1694 0.3306 0.5000
0.3306 0.8306 0.5000
0.6694 0.1694 0.5000
0.8306 0.6694 0.5000
0.0000 0.5000 0.0000
0.5000 0.0000 0.0000
0.0000 0.0000 0.5000
0.1532 0.6532 0.2388
0.1532 0.6532 0.7612
0.3468 0.1532 0.2388
0.3468 0.1532 0.7612
0.5000 0.5000 0.5000
0.6532 0.8468 0.2388
0.6532 0.8468 0.7612
0.8468 0.3468 0.2388
0.8468 0.3468 0.7612
```

Peak list (10 most intense, 2θ from 10° to 80°, in order of rising 2θ)
| two_theta | I/Imax |
| --- | --- |
| 25.4 | 33 |
| 31.3 | 24 |
| 32.3 | 100 |
| 35.3 | 47 |
| 39.8 | 14 |
| 44.8 | 21 |
| 45.6 | 28 |
| 56.3 | 17 |
| 59.6 | 16 |
| 64.0 | 15 |

# 8
# La3Ho2Tm2
Simulated powder X-ray diffraction pattern, Cu Kα, 1.54184 Å. Input: the PBE geometry in Alexandria.
No peak broadening, texture or thermal motion is included.

Structural model:
```
La3Ho2Tm2
1.0
12.0110 0.0000 0.0000
0.0000 3.6301 0.0000
-1.0589 0.0000 10.6718
La Ho Tm
6 4 4
Direct
0.0000 0.0000 0.0000
0.1423 0.0000 0.5718
0.3577 0.5000 0.4282
0.5000 0.5000 0.0000
0.6423 0.5000 0.5718
0.8577 0.0000 0.4282
0.2157 0.5000 0.8604
0.2843 0.0000 0.1396
0.7157 0.0000 0.8604
0.7843 0.5000 0.1396
0.0748 0.5000 0.2825
0.4252 0.0000 0.7175
0.5748 0.0000 0.2825
0.9252 0.5000 0.7175
```

Peak list (10 most intense, 2θ from 10° to 80°, in order of rising 2θ)
| two_theta | I/Imax |
| --- | --- |
| 30.3 | 100 |
| 30.5 | 33 |
| 35.0 | 45 |
| 35.5 | 22 |
| 50.5 | 24 |
| 50.9 | 16 |
| 59.8 | 19 |
| 59.9 | 10 |
| 60.1 | 10 |
| 63.0 | 12 |

# 9
# AlBiPd6
Simulated powder X-ray diffraction pattern, Cu Kα, 1.54184 Å. Input: the PBE geometry in Alexandria.
No peak broadening, texture or thermal motion is included.

Structural model:
```
AlBiPd6
1.0
4.0337 0.0000 0.0000
0.0000 4.0337 0.0000
0.0000 0.0000 8.0073
Al Bi Pd
1 1 6
Direct
0.0000 0.0000 0.0000
0.0000 0.0000 0.5000
0.0000 0.5000 0.2328
0.0000 0.5000 0.7672
0.5000 0.0000 0.2328
0.5000 0.0000 0.7672
0.5000 0.5000 0.0000
0.5000 0.5000 0.5000
```

Peak list (10 most intense, 2θ from 10° to 80°, in order of rising 2θ)
| two_theta | I/Imax |
| --- | --- |
| 11.0 | 10 |
| 24.7 | 13 |
| 33.3 | 10 |
| 38.8 | 100 |
| 44.9 | 34 |
| 45.3 | 15 |
| 65.4 | 11 |
| 65.7 | 19 |
| 78.7 | 25 |
| 79.3 | 10 |

# 10
# AcTb10Y6
Simulated powder X-ray diffraction pattern, Cu Kα, 1.54184 Å. Input: the PBE geometry in Alexandria.
No peak broadening, texture or thermal motion is included.

Structural model:
```
AcTb10Y6
1.0
4.8843 -8.4562 0.0000
4.8843 8.4562 0.0000
-0.0002 0.0000 6.8802
Ac Tb Y
1 10 6
Direct
0.0000 0.0000 0.0000
0.9999 0.2819 0.3268
0.0001 0.7181 0.6732
0.2819 0.9999 0.3268
0.2818 0.2818 0.6726
0.3330 0.6670 0.0000
0.3334 0.6666 0.5000
0.6670 0.3330 0.0000
0.6666 0.3334 0.5000
0.7181 0.0001 0.6732
0.7182 0.7182 0.3274
0.0002 0.3749 0.8077
0.9998 0.6251 0.1923
0.3749 0.0002 0.8077
0.3748 0.3748 0.1916
0.6251 0.9998 0.1923
0.6252 0.6252 0.8084
```

Peak list (10 most intense, 2θ from 10° to 80°, in order of rising 2θ)
| two_theta | I/Imax |
| --- | --- |
| 22.3 | 9 |
| 24.7 | 7 |
| 30.8 | 20 |
| 31.8 | 100 |
| 45.6 | 15 |
| 48.8 | 8 |
| 56.6 | 16 |
| 56.7 | 10 |
| 59.5 | 5 |
| 62.6 | 6 |